Structure and calculated XRD peak list of Tc3O12F (DFT lattice parameters and positions (GGA-PBE); Cu Kα X-rays).

Structural model:
a b c (Å): 10.5308 10.5308 10.5308
angles (deg): 49.17 49.17 49.17
Sites, in units of the cell vectors:
Tc: 0.0534 0.2956 0.6510
Tc: 0.1510 0.7956 0.5534
Tc: 0.2956 0.6510 0.0534
Tc: 0.5534 0.1510 0.7956
Tc: 0.6510 0.0534 0.2956
Tc: 0.7956 0.5534 0.1510
O: 0.0204 0.4388 0.0342
O: 0.0342 0.0204 0.4388
O: 0.0490 0.6501 0.6408
O: 0.1408 0.1501 0.5490
O: 0.1501 0.5490 0.1408
O: 0.1569 0.7794 0.7234
O: 0.2234 0.2794 0.6569
O: 0.2243 0.8715 0.8987
O: 0.2794 0.6569 0.2234
O: 0.3715 0.7243 0.3987
O: 0.3987 0.3715 0.7243
O: 0.4388 0.0342 0.0204
O: 0.5204 0.5342 0.9388
O: 0.5342 0.9388 0.5204
O: 0.5490 0.1408 0.1501
O: 0.6408 0.0490 0.6501
O: 0.6501 0.6408 0.0490
O: 0.6569 0.2234 0.2794
O: 0.7234 0.1569 0.7794
O: 0.7243 0.3987 0.3715
O: 0.7794 0.7234 0.1569
O: 0.8715 0.8987 0.2243
O: 0.8987 0.2243 0.8715
O: 0.9388 0.5204 0.5342
F: 0.3124 0.3124 0.3124
F: 0.8124 0.8124 0.8124

Top 10 peaks for 10° ≤ 2θ ≤ 80°, low angle first:
two_theta  I/Imax
13.30  17
19.22  55
20.27  25
22.46  100
24.32  11
28.07  15
31.35  10
35.49  12
35.64  25
40.67  16